For NaAg, a DFT-relaxed cell (PBE, Alexandria) gives the simulated X-ray diffraction stick pattern in this record (Cu Kα (λ = 1.5418 Å)).

Peak list (6 most intense, 10° ≤ 2θ ≤ 90°, low angle first)
d [Å]	I_rel
4.528	100
4.009	56
2.560	40
2.512	75
2.502	45
2.401	62

Atomic structure:
```
16
Lattice="9.0564 0.0000 0.0000 0.0000 7.4692 0.0000 0.0000 0.0000 5.5825" Properties=species:S:1:pos:R:3 pbc="T T T"
Na 1.6866 1.2197 1.3956
Na 1.6866 6.2495 4.1869
Na 2.8416 2.5149 4.1869
Na 2.8416 4.9543 1.3956
Na 6.2148 2.5149 4.1869
Na 6.2148 4.9543 1.3956
Na 7.3698 1.2197 1.3956
Na 7.3698 6.2495 4.1869
Ag 0.0000 1.2730 4.1869
Ag 0.0000 3.7346 0.0000
Ag 0.0000 3.7346 2.7912
Ag 0.0000 6.1962 1.3956
Ag 4.5282 0.0000 0.0000
Ag 4.5282 0.0000 2.7912
Ag 4.5282 2.4616 1.3956
Ag 4.5282 5.0076 4.1869
```